1.
Diffraction record for TiPb3N3. The X-ray powder pattern is calculated, not measured: it uses a GGA-PBE-relaxed structure and CuKα.
Kinematic intensities with the Lorentz-polarization factor, no thermal factor.

Most intense lines, 10° ≤ 2θ ≤ 80°, in order of rising 2θ:
2θ (°), d [Å], intensity, h k l
16.72, 5.303, 254, 1 1 0
25.66, 3.471, 198, 1 2 0
29.21, 3.058, 1000, 3 0 0
35.27, 2.545, 140, 2 1 1
41.77, 2.163, 144, 2 2 1
42.94, 2.106, 144, 3 2 0
51.74, 1.767, 122, 3 3 0
61.43, 1.509, 121, 5 1 1

Cell and atoms:
Lattice parameters (Å, degrees): 10.6054 10.6054 3.7386 90.00 90.00 120.00
Fractional positions:
Ti: 0.3333 0.6667 0.2500
Ti: 0.6667 0.3333 0.7500
Pb: 0.0434 0.3814 0.7500
Pb: 0.3381 0.9566 0.7500
Pb: 0.3814 0.3381 0.2500
Pb: 0.6186 0.6619 0.7500
Pb: 0.6619 0.0434 0.2500
Pb: 0.9566 0.6186 0.2500
N: 0.1290 0.5414 0.2500
N: 0.4124 0.8710 0.2500
N: 0.4586 0.5876 0.2500
N: 0.5414 0.4124 0.7500
N: 0.5876 0.1290 0.7500
N: 0.8710 0.4586 0.7500

***

2.
Diffraction record for Ti3Pb3N5. The X-ray powder pattern is calculated, not measured: it uses a GGA-PBE-relaxed structure and CuKα.
Kinematic intensities with the Lorentz-polarization factor, no thermal factor.

Most intense lines, 10° ≤ 2θ ≤ 80°, in order of rising 2θ:
2θ (°), d [Å], intensity, h k l
26.89, 3.316, 660, 1 -1 2
28.65, 3.116, 1000, 0 2 1
30.67, 2.915, 395, 0 1 -3
31.00, 2.884, 695, -2 1 1
32.10, 2.789, 578, 1 0 -3
32.93, 2.720, 589, 1 2 -2
35.74, 2.512, 446, 2 1 0
36.17, 2.483, 388, 1 -3 1

Cell and atoms:
Lattice parameters (Å, degrees): 6.0615 7.7023 8.9408 101.65 98.02 101.63
Fractional positions:
Ti: 0.0928 0.1914 0.0398
Ti: 0.1274 0.4495 0.7331
Ti: 0.3009 0.4998 0.3974
Ti: 0.6991 0.5002 0.6026
Ti: 0.8726 0.5505 0.2669
Ti: 0.9072 0.8086 0.9602
Pb: 0.2320 0.0060 0.4404
Pb: 0.3527 0.8665 0.7941
Pb: 0.3924 0.6703 0.1001
Pb: 0.6076 0.3297 0.8999
Pb: 0.6473 0.1335 0.2059
Pb: 0.7680 0.9940 0.5596
N: 0.0495 0.3420 0.2340
N: 0.1549 0.6917 0.3980
N: 0.2038 0.3558 0.9101
N: 0.2052 0.9695 0.0418
N: 0.3661 0.4533 0.6052
N: 0.6339 0.5467 0.3948
N: 0.7948 0.0305 0.9582
N: 0.7962 0.6442 0.0899
N: 0.8451 0.3083 0.6020
N: 0.9505 0.6580 0.7660